Li2CrFeO4: theoretical X-ray diffraction stick pattern (Cu Ka), based on a cell relaxed with GGA+U.

Cell and atoms:
```
24
Lattice="5.178 0.000 0.000 -1.724 5.698 0.000 -0.869 -1.812 7.609" Properties=species:S:1:pos:R:3 pbc="T T T"
Li -0.432 -0.138 2.549
Li 3.017 4.024 5.060
Li -0.423 1.429 0.006
Li -1.288 2.731 2.536
Li 3.873 1.155 5.073
Li 3.008 2.457 7.603
Cr 1.283 0.396 6.342
Cr 1.292 1.943 3.804
Cr 1.302 3.490 1.267
Fe 2.154 -0.906 3.804
Fe 2.158 0.640 1.268
Fe 0.427 3.246 6.340
O 0.523 -1.387 6.982
O 0.527 0.173 4.462
O -0.320 4.545 1.908
O -0.325 3.002 4.447
O 0.544 1.718 1.924
O -0.321 1.451 7.004
O 2.906 2.435 0.605
O 2.041 2.168 5.685
O 2.910 0.884 3.161
O 2.905 -0.659 5.700
O 2.058 3.714 3.147
O 2.062 5.273 0.627
```

Principal peaks in the range 5 to 70 degrees two-theta, by intensity:
| 2theta | Rel. int. | hkl |
| --- | --- | --- |
| 18.18 | 100 | 1 0 0 |
| 42.90 | 54 | 1 2 -2 |
| 35.37 | 42 | 0 0 3 |
| 42.98 | 27 | 1 0 3 |
| 62.37 | 22 | 1 -4 1 |
| 62.19 | 14 | 3 0 -3 |
| 36.98 | 12 | 1 0 -3 |
| 56.74 | 9 | 2 2 -2 |
| 46.95 | 9 | 2 -2 2 |
| 62.45 | 7 | 0 2 -5 |